1.
Calculated powder X-ray diffraction pattern
Compound: Sn8Sb4Te3
Radiation: Cu Kα, 1.54184 Å
Structure: a structure optimized by DFT (GGA-PBE)

Cell and atoms:
```
15
Lattice="6.268 -6.225 0.000 6.268 6.225 0.000 -6.223 0.000 6.278" Properties=species:S:1:pos:R:3 pbc="T T T"
Sn 6.268 3.165 0.000
Sn 0.070 0.000 3.093
Sn 3.079 0.000 0.084
Sn 3.156 3.079 3.139
Sn 3.156 -3.079 3.139
Sn 3.233 0.000 6.194
Sn 6.242 0.000 3.185
Sn 6.268 -3.165 0.000
Sb 0.000 0.000 0.000
Sb 3.134 3.112 0.000
Sb 3.134 -3.112 0.000
Sb 3.156 0.000 3.139
Te 0.022 3.112 3.139
Te 0.022 -3.112 3.139
Te 6.268 0.000 0.000
```

Top 10 peaks for 10° ≤ 2θ ≤ 80°, sorted by position:
2theta	d [Å]	Rel. int.
28.46	3.136	100.0
28.68	3.112	49.1
40.53	2.226	19.5
40.84	2.209	94.9
50.41	1.810	20.8
50.66	1.802	20.2
66.87	1.399	17.7
67.15	1.394	17.6
73.94	1.282	13.6
74.37	1.276	19.6

2.
Calculated powder X-ray diffraction pattern
Compound: ZnGa2S4
Radiation: Cu Kα, 1.54184 Å
Structure: a structure optimized by DFT (GGA-PBE)

Cell and atoms:
```
14
Lattice="3.726 0.000 0.000 -1.863 3.226 0.000 0.000 0.000 24.572" Properties=species:S:1:pos:R:3 pbc="T T T"
Zn 0.000 0.000 0.000
Zn 0.000 0.000 12.286
Ga 0.000 2.151 3.798
Ga 0.000 2.151 19.796
Ga 1.863 1.075 7.509
Ga 1.863 1.075 16.084
S 0.000 0.000 2.637
S 0.000 0.000 8.465
S 0.000 0.000 14.923
S 0.000 0.000 20.751
S 0.000 2.151 17.530
S 0.000 2.151 23.906
S 1.863 1.075 5.244
S 1.863 1.075 11.620
```

Top 10 peaks for 10° ≤ 2θ ≤ 80°, sorted by position:
2theta	d [Å]	Rel. int.
21.70	4.095	100.0
27.89	3.199	52.7
28.60	3.121	70.4
29.76	3.002	45.4
33.22	2.697	46.8
40.55	2.225	50.2
48.89	1.863	79.7
49.64	1.837	33.0
52.96	1.729	29.9
54.08	1.696	47.7

3.
Calculated powder X-ray diffraction pattern
Compound: Nd5Er3Tm4
Radiation: Cu Kα, 1.54184 Å
Structure: a structure optimized by DFT (GGA-PBE)

Cell and atoms:
```
12
Lattice="6.261 -2.875 0.000 6.261 2.875 0.000 -1.131 0.000 10.885" Properties=species:S:1:pos:R:3 pbc="T T T"
Nd 0.000 0.000 0.000
Nd 3.577 0.000 7.965
Nd 4.538 0.000 4.456
Nd 6.854 0.000 6.429
Nd 7.816 0.000 2.920
Er 3.087 0.000 1.174
Er 6.261 0.000 0.000
Er 8.305 0.000 9.711
Tm 0.103 0.000 8.212
Tm 1.325 0.000 4.916
Tm 10.067 0.000 5.969
Tm 11.289 0.000 2.673
```

Top 10 peaks for 10° ≤ 2θ ≤ 80°, sorted by position:
2theta	d [Å]	Rel. int.
28.40	3.142	16.8
29.36	3.042	23.1
30.02	2.976	47.7
30.63	2.918	100.0
31.11	2.875	56.2
34.80	2.578	13.3
37.94	2.371	9.7
44.25	2.047	32.5
53.66	1.708	9.7
55.02	1.669	15.2

4.
Calculated powder X-ray diffraction pattern
Compound: TbLuBe
Radiation: Cu Kα, 1.54184 Å
Structure: a structure optimized by DFT (GGA-PBE)

Cell and atoms:
```
3
Lattice="-1.711 1.711 5.950 1.711 -1.711 5.950 1.711 1.711 -5.950" Properties=species:S:1:pos:R:3 pbc="T T T"
Tb 0.000 0.000 0.000
Lu 0.000 0.000 3.241
Be 0.000 0.000 7.663
```

Top 10 peaks for 10° ≤ 2θ ≤ 80°, sorted by position:
2theta	d [Å]	Rel. int.
27.11	3.289	100.0
30.04	2.975	42.2
34.61	2.591	96.5
37.15	2.420	56.1
48.49	1.877	45.5
53.55	1.711	19.7
60.84	1.523	23.0
61.04	1.518	21.0
62.62	1.483	21.2
65.35	1.428	30.8

5.
Calculated powder X-ray diffraction pattern
Compound: Mg2HgS3
Radiation: Cu Kα, 1.54184 Å
Structure: a structure optimized by DFT (GGA-PBE)

Cell and atoms:
```
24
Lattice="0.000 12.270 5.805 4.084 0.000 5.805 4.084 12.270 0.000" Properties=species:S:1:pos:R:3 pbc="T T T"
Mg 0.000 0.000 0.000
Mg 2.042 6.135 2.902
Mg 4.076 8.201 5.780
Mg 4.084 12.270 5.788
Mg 6.134 14.336 8.682
Mg 4.092 16.338 5.780
Mg 6.126 18.405 8.690
Mg 6.119 22.473 8.682
Hg 2.033 1.987 2.889
Hg 4.075 4.148 5.791
Hg 2.052 10.283 2.889
Hg 4.094 20.392 5.791
S 2.126 4.149 1.454
S 4.084 6.253 4.274
S 1.958 8.121 1.454
S 4.170 10.239 4.389
S 6.126 12.388 7.176
S 3.999 14.300 4.389
S 6.041 16.374 7.292
S 4.084 18.286 4.274
S 6.212 20.435 7.292
S 4.001 10.284 10.162
S 2.042 12.151 7.176
S 4.168 14.256 10.162
```

Top 10 peaks for 10° ≤ 2θ ≤ 80°, sorted by position:
2theta	d [Å]	Rel. int.
13.74	6.446	19.7
16.90	5.247	14.6
17.14	5.174	51.5
26.67	3.342	100.0
27.74	3.216	19.8
35.58	2.523	20.8
41.97	2.153	12.4
44.24	2.047	51.6
52.31	1.749	15.3
52.49	1.743	29.9

6.
Calculated powder X-ray diffraction pattern
Compound: Fe5Co5Ir2
Radiation: Cu Kα, 1.54184 Å
Structure: a structure optimized by DFT (GGA-PBE)

Cell and atoms:
```
12
Lattice="5.526 -1.819 0.000 5.526 1.819 0.000 -3.675 0.000 7.123" Properties=species:S:1:pos:R:3 pbc="T T T"
Fe 0.000 0.000 0.000
Fe -1.864 0.000 5.391
Fe 1.818 0.000 1.696
Fe 5.558 0.000 5.427
Fe 9.240 0.000 1.732
Co 3.675 0.000 0.005
Co 1.870 0.000 5.397
Co 3.688 0.000 3.562
Co 5.506 0.000 1.726
Co 3.701 0.000 7.119
Ir -0.035 0.000 3.570
Ir 7.411 0.000 3.553
```

Top 10 peaks for 10° ≤ 2θ ≤ 80°, sorted by position:
2theta	d [Å]	Rel. int.
12.43	7.123	28.8
25.00	3.562	7.6
34.65	2.589	6.6
36.95	2.433	12.4
43.20	2.094	100.0
49.49	1.842	16.5
50.14	1.819	16.6
51.30	1.781	16.5
73.11	1.294	9.7
74.56	1.273	10.9

7.
Calculated powder X-ray diffraction pattern
Compound: Zn3CdF8
Radiation: Cu Kα, 1.54184 Å
Structure: a structure optimized by DFT (GGA-PBE)

Cell and atoms:
```
12
Lattice="6.438 -2.012 0.000 6.438 2.012 0.000 -0.937 0.000 6.664" Properties=species:S:1:pos:R:3 pbc="T T T"
Zn 0.000 0.000 0.000
Zn 1.091 0.000 3.836
Zn 10.095 0.000 4.010
Cd 8.960 0.000 0.510
F 1.018 0.000 1.811
F 1.252 0.000 6.120
F 3.185 0.000 3.967
F 6.729 0.000 0.070
F 7.901 0.000 4.000
F 10.396 0.000 2.079
F 10.036 0.000 6.079
F 12.080 0.000 4.488
```

Top 10 peaks for 10° ≤ 2θ ≤ 80°, sorted by position:
2theta	d [Å]	Rel. int.
13.89	6.375	54.2
23.18	3.837	100.0
26.76	3.332	80.6
27.30	3.266	34.7
29.33	3.045	36.6
32.26	2.775	53.0
32.79	2.731	34.3
42.83	2.111	26.2
45.07	2.012	47.8
55.37	1.659	32.3

8.
Calculated powder X-ray diffraction pattern
Compound: PrGa2H6
Radiation: Cu Kα, 1.54184 Å
Structure: a structure optimized by DFT (GGA-PBE)

Cell and atoms:
```
9
Lattice="0.000 3.789 3.789 3.789 0.000 3.789 3.789 3.789 0.000" Properties=species:S:1:pos:R:3 pbc="T T T"
Pr 0.000 0.000 0.000
Ga 1.895 1.895 1.895
Ga 5.684 5.684 5.684
H 3.789 3.789 2.212
H 3.789 2.212 3.789
H 5.367 3.789 3.789
H 2.212 3.789 3.789
H 3.789 5.367 3.789
H 3.789 3.789 5.367
```

Top 9 peaks for 10° ≤ 2θ ≤ 80°, sorted by position:
2theta	d [Å]	Rel. int.
20.30	4.376	54.7
33.44	2.679	100.0
39.43	2.285	31.3
48.02	1.895	18.9
52.64	1.739	13.9
59.78	1.547	36.8
63.82	1.459	9.9
70.26	1.340	11.6
74.00	1.281	9.6

What did the third record say?
Calculated powder X-ray diffraction pattern
Compound: Nd5Er3Tm4
Radiation: Cu Kα, 1.54184 Å
Structure: a structure optimized by DFT (GGA-PBE)

Cell and atoms:
```
12
Lattice="6.261 -2.875 0.000 6.261 2.875 0.000 -1.131 0.000 10.885" Properties=species:S:1:pos:R:3 pbc="T T T"
Nd 0.000 0.000 0.000
Nd 3.577 0.000 7.965
Nd 4.538 0.000 4.456
Nd 6.854 0.000 6.429
Nd 7.816 0.000 2.920
Er 3.087 0.000 1.174
Er 6.261 0.000 0.000
Er 8.305 0.000 9.711
Tm 0.103 0.000 8.212
Tm 1.325 0.000 4.916
Tm 10.067 0.000 5.969
Tm 11.289 0.000 2.673
```

Top 10 peaks for 10° ≤ 2θ ≤ 80°, sorted by position:
2theta	d [Å]	Rel. int.
28.40	3.142	16.8
29.36	3.042	23.1
30.02	2.976	47.7
30.63	2.918	100.0
31.11	2.875	56.2
34.80	2.578	13.3
37.94	2.371	9.7
44.25	2.047	32.5
53.66	1.708	9.7
55.02	1.669	15.2